1.
Na5Li2Sn12: computed powder XRD pattern (Cu Ka), based on a cell relaxed with GGA-PBE.
Peak positions follow from Bragg's law for the DFT cell and can differ from measured ones.

Atomic structure:
```
data_Na5Li2Sn12
_chemical_formula_sum 'Na5 Li2 Sn12'
_space_group_name_H-M_alt 'P 1'
_space_group_IT_number 1
_cell_length_a 10.0448
_cell_length_b 10.0448
_cell_length_c 7.0649
_cell_angle_alpha 96.44
_cell_angle_beta 96.44
_cell_angle_gamma 48.47
loop_
_space_group_symop_operation_xyz
'x,y,z'
loop_
_atom_site_label
_atom_site_fract_x
_atom_site_fract_y
_atom_site_fract_z
Na1 0.0000 0.0000 0.0000
Na2 0.2397 0.2397 0.9108
Na3 0.3070 0.3070 0.4550
Na4 0.6930 0.6930 0.5450
Na5 0.7603 0.7603 0.0892
Li1 0.3009 0.6991 0.5000
Li2 0.6991 0.3009 0.5000
Sn1 0.0266 0.6561 0.7409
Sn2 0.0826 0.0826 0.5656
Sn3 0.1945 0.5882 0.1441
Sn4 0.3439 0.9734 0.2591
Sn5 0.4118 0.8055 0.8559
Sn6 0.4543 0.4543 0.8042
Sn7 0.5457 0.5457 0.1958
Sn8 0.5882 0.1945 0.1441
Sn9 0.6561 0.0266 0.7409
Sn10 0.8055 0.4118 0.8559
Sn11 0.9174 0.9174 0.4344
Sn12 0.9734 0.3439 0.2591
```

Peak list (8 most intense, 2θ from 15° to 90°, low angle first)
two_theta	intensity
17.74	41
19.53	45
29.24	28
30.99	100
35.92	33
37.53	26
38.57	33
40.18	30

---

2.
NaLi2Sn3: computed powder XRD pattern (Cu Ka), based on a cell relaxed with GGA-PBE.
Peak positions follow from Bragg's law for the DFT cell and can differ from measured ones.

Atomic structure:
```
data_NaLi2Sn3
_chemical_formula_sum 'Na2 Li4 Sn6'
_space_group_name_H-M_alt 'P 1'
_space_group_IT_number 1
_cell_length_a 7.7902
_cell_length_b 7.7902
_cell_length_c 7.7902
_cell_angle_alpha 107.06
_cell_angle_beta 89.78
_cell_angle_gamma 135.27
loop_
_space_group_symop_operation_xyz
'x,y,z'
loop_
_atom_site_label
_atom_site_fract_x
_atom_site_fract_y
_atom_site_fract_z
Na1 0.4595 0.2095 0.2500
Na2 0.5405 0.7905 0.7500
Li1 0.1008 0.6968 0.4040
Li2 0.2072 0.3032 0.9040
Li3 0.7928 0.6968 0.0960
Li4 0.8992 0.3032 0.5960
Sn1 0.0000 0.0000 0.5000
Sn2 0.0000 0.2161 0.2161
Sn3 0.0000 0.5000 0.0000
Sn4 0.0000 0.7839 0.7839
Sn5 0.5000 0.2161 0.7161
Sn6 0.5000 0.7839 0.2839
```

Peak list (8 most intense, 2θ from 15° to 90°, low angle first)
two_theta	intensity
16.98	30
19.17	100
25.71	42
32.45	43
34.34	75
37.96	41
39.62	73
62.73	29

---

3.
Na12LiSn6: computed powder XRD pattern (Cu Ka), based on a cell relaxed with GGA-PBE.
Peak positions follow from Bragg's law for the DFT cell and can differ from measured ones.

Atomic structure:
```
data_Na12LiSn6
_chemical_formula_sum 'Na12 Li1 Sn6'
_space_group_name_H-M_alt 'P 1'
_space_group_IT_number 1
_cell_length_a 8.1630
_cell_length_b 8.1630
_cell_length_c 8.1630
_cell_angle_alpha 86.80
_cell_angle_beta 86.80
_cell_angle_gamma 86.80
loop_
_space_group_symop_operation_xyz
'x,y,z'
loop_
_atom_site_label
_atom_site_fract_x
_atom_site_fract_y
_atom_site_fract_z
Na1 0.0154 0.3183 0.9156
Na2 0.0844 0.9846 0.6817
Na3 0.1191 0.3585 0.4611
Na4 0.3183 0.9156 0.0154
Na5 0.3585 0.4611 0.1191
Na6 0.4611 0.1191 0.3585
Na7 0.5389 0.8809 0.6415
Na8 0.6415 0.5389 0.8809
Na9 0.6817 0.0844 0.9846
Na10 0.8809 0.6415 0.5389
Na11 0.9156 0.0154 0.3183
Na12 0.9846 0.6817 0.0844
Li1 0.5000 0.5000 0.5000
Sn1 0.2476 0.6183 0.7501
Sn2 0.2499 0.7524 0.3817
Sn3 0.3817 0.2499 0.7524
Sn4 0.6183 0.7501 0.2476
Sn5 0.7501 0.2476 0.6183
Sn6 0.7524 0.3817 0.2499
```

Peak list (8 most intense, 2θ from 15° to 90°, low angle first)
two_theta	intensity
15.80	45
17.85	32
21.84	53
23.93	47
33.81	100
34.28	67
35.32	40
35.43	47

---

4.
Na4LiSn5: computed powder XRD pattern (Cu Ka), based on a cell relaxed with GGA-PBE.
Peak positions follow from Bragg's law for the DFT cell and can differ from measured ones.

Atomic structure:
```
data_Na4LiSn5
_chemical_formula_sum 'Na4 Li1 Sn5'
_space_group_name_H-M_alt 'P 1'
_space_group_IT_number 1
_cell_length_a 7.4383
_cell_length_b 7.4383
_cell_length_c 7.4383
_cell_angle_alpha 101.41
_cell_angle_beta 101.41
_cell_angle_gamma 127.17
loop_
_space_group_symop_operation_xyz
'x,y,z'
loop_
_atom_site_label
_atom_site_fract_x
_atom_site_fract_y
_atom_site_fract_z
Na1 0.0523 0.6838 0.7361
Na2 0.3162 0.0523 0.3684
Na3 0.6838 0.9477 0.6316
Na4 0.9477 0.3162 0.2639
Li1 0.2197 0.2197 0.0000
Sn1 0.2816 0.4045 0.6961
Sn2 0.4045 0.7084 0.1229
Sn3 0.5855 0.2816 0.8771
Sn4 0.7084 0.5855 0.3039
Sn5 0.8087 0.8087 0.0000
```

Peak list (8 most intense, 2θ from 15° to 90°, low angle first)
two_theta	intensity
16.37	100
25.06	84
26.94	43
29.99	75
31.53	49
36.99	67
40.75	87
41.82	35

---

5.
NaLi6Sn6: computed powder XRD pattern (Cu Ka), based on a cell relaxed with GGA-PBE.
Peak positions follow from Bragg's law for the DFT cell and can differ from measured ones.

Atomic structure:
```
data_NaLi6Sn6
_chemical_formula_sum 'Na1 Li6 Sn6'
_space_group_name_H-M_alt 'P 1'
_space_group_IT_number 1
_cell_length_a 6.4588
_cell_length_b 6.4588
_cell_length_c 9.4070
_cell_angle_alpha 90.00
_cell_angle_beta 90.00
_cell_angle_gamma 126.60
loop_
_space_group_symop_operation_xyz
'x,y,z'
loop_
_atom_site_label
_atom_site_fract_x
_atom_site_fract_y
_atom_site_fract_z
Na1 0.0000 0.0000 0.0000
Li1 0.0000 0.0000 0.3336
Li2 0.0000 0.0000 0.6664
Li3 0.3362 0.6638 0.0000
Li4 0.3540 0.6460 0.5000
Li5 0.6460 0.3540 0.5000
Li6 0.6638 0.3362 0.0000
Sn1 0.0000 0.5000 0.2527
Sn2 0.0000 0.5000 0.7473
Sn3 0.5000 0.0000 0.2527
Sn4 0.5000 0.0000 0.7473
Sn5 0.5000 0.5000 0.2421
Sn6 0.5000 0.5000 0.7579
```

Peak list (8 most intense, 2θ from 15° to 90°, low angle first)
two_theta	intensity
17.10	26
18.87	100
25.57	26
31.00	36
34.60	55
36.54	43
39.70	68
52.54	32

---

6.
NaLi3Sn2: computed powder XRD pattern (Cu Ka), based on a cell relaxed with GGA-PBE.
Peak positions follow from Bragg's law for the DFT cell and can differ from measured ones.

Atomic structure:
```
data_NaLi3Sn2
_chemical_formula_sum 'Na2 Li6 Sn4'
_space_group_name_H-M_alt 'P 1'
_space_group_IT_number 1
_cell_length_a 7.2726
_cell_length_b 7.2726
_cell_length_c 9.3458
_cell_angle_alpha 119.37
_cell_angle_beta 119.37
_cell_angle_gamma 38.88
loop_
_space_group_symop_operation_xyz
'x,y,z'
loop_
_atom_site_label
_atom_site_fract_x
_atom_site_fract_y
_atom_site_fract_z
Na1 0.1470 0.1470 0.0208
Na2 0.8530 0.8530 0.9792
Li1 0.0356 0.0356 0.3566
Li2 0.2663 0.2663 0.4335
Li3 0.4171 0.4171 0.3096
Li4 0.5829 0.5829 0.6904
Li5 0.7337 0.7337 0.5665
Li6 0.9644 0.9644 0.6434
Sn1 0.1929 0.1929 0.7014
Sn2 0.4321 0.4321 0.8091
Sn3 0.5679 0.5679 0.1909
Sn4 0.8071 0.8071 0.2986
```

Peak list (8 most intense, 2θ from 15° to 90°, low angle first)
two_theta	intensity
19.33	24
20.74	100
22.27	34
26.41	28
29.39	31
35.67	48
37.14	27
37.80	63

---

7.
Na2LiSn2: computed powder XRD pattern (Cu Ka), based on a cell relaxed with GGA-PBE.
Peak positions follow from Bragg's law for the DFT cell and can differ from measured ones.

Atomic structure:
```
data_Na2LiSn2
_chemical_formula_sum 'Na4 Li2 Sn4'
_space_group_name_H-M_alt 'P 1'
_space_group_IT_number 1
_cell_length_a 6.7785
_cell_length_b 6.7785
_cell_length_c 7.9739
_cell_angle_alpha 109.55
_cell_angle_beta 109.55
_cell_angle_gamma 49.02
loop_
_space_group_symop_operation_xyz
'x,y,z'
loop_
_atom_site_label
_atom_site_fract_x
_atom_site_fract_y
_atom_site_fract_z
Na1 0.0570 0.3357 0.1513
Na2 0.3357 0.0570 0.6513
Na3 0.6643 0.9430 0.3487
Na4 0.9430 0.6643 0.8487
Li1 0.1836 0.8164 0.2500
Li2 0.8164 0.1836 0.7500
Sn1 0.2640 0.5766 0.5531
Sn2 0.4234 0.7360 0.9469
Sn3 0.5766 0.2640 0.0531
Sn4 0.7360 0.4234 0.4469
```

Peak list (8 most intense, 2θ from 15° to 90°, low angle first)
two_theta	intensity
17.56	80
19.60	100
24.00	50
27.08	79
31.66	64
34.04	77
35.66	93
37.85	64

---

8.
NaSr6Li2: computed powder XRD pattern (Cu Ka), based on a cell relaxed with GGA-PBE.
Peak positions follow from Bragg's law for the DFT cell and can differ from measured ones.

Atomic structure:
```
data_NaSr6Li2
_chemical_formula_sum 'Na2 Sr12 Li4'
_space_group_name_H-M_alt 'P 1'
_space_group_IT_number 1
_cell_length_a 11.6396
_cell_length_b 11.6539
_cell_length_c 6.0847
_cell_angle_alpha 90.00
_cell_angle_beta 90.00
_cell_angle_gamma 90.00
loop_
_space_group_symop_operation_xyz
'x,y,z'
loop_
_atom_site_label
_atom_site_fract_x
_atom_site_fract_y
_atom_site_fract_z
Na1 0.0000 0.0000 0.0000
Na2 0.5000 0.5000 0.5000
Sr1 0.0228 0.3187 0.0000
Sr2 0.1295 0.8725 0.5000
Sr3 0.1811 0.5247 0.5000
Sr4 0.3189 0.0247 0.0000
Sr5 0.3705 0.3725 0.0000
Sr6 0.4772 0.8187 0.5000
Sr7 0.5228 0.1813 0.5000
Sr8 0.6295 0.6275 0.0000
Sr9 0.6811 0.9753 0.0000
Sr10 0.8189 0.4753 0.5000
Sr11 0.8705 0.1275 0.5000
Sr12 0.9772 0.6813 0.0000
Li1 0.1985 0.2014 0.5000
Li2 0.3015 0.7014 0.0000
Li3 0.6985 0.2986 0.0000
Li4 0.8015 0.7986 0.5000
```

Peak list (8 most intense, 2θ from 15° to 90°, low angle first)
two_theta	intensity
18.13	18
22.47	30
27.25	100
28.32	17
29.36	27
32.62	24
44.45	29
50.79	17

---

9.
NaSrLi2: computed powder XRD pattern (Cu Ka), based on a cell relaxed with GGA-PBE.
Peak positions follow from Bragg's law for the DFT cell and can differ from measured ones.

Atomic structure:
```
data_NaSrLi2
_chemical_formula_sum 'Na1 Sr1 Li2'
_space_group_name_H-M_alt 'P 1'
_space_group_IT_number 1
_cell_length_a 5.6865
_cell_length_b 5.6865
_cell_length_c 4.3265
_cell_angle_alpha 90.00
_cell_angle_beta 90.00
_cell_angle_gamma 90.00
loop_
_space_group_symop_operation_xyz
'x,y,z'
loop_
_atom_site_label
_atom_site_fract_x
_atom_site_fract_y
_atom_site_fract_z
Na1 0.0000 0.0000 0.0000
Sr1 0.5000 0.5000 0.0000
Li1 0.0000 0.5000 0.5000
Li2 0.5000 0.0000 0.5000
```

Peak list (8 most intense, 2θ from 15° to 90°, low angle first)
two_theta	intensity
15.58	66
20.53	45
22.11	76
25.88	40
30.35	100
31.46	45
37.86	38
55.33	35

---

10.
Na2SrLi3: computed powder XRD pattern (Cu Ka), based on a cell relaxed with GGA-PBE.
Peak positions follow from Bragg's law for the DFT cell and can differ from measured ones.

Atomic structure:
```
data_Na2SrLi3
_chemical_formula_sum 'Na4 Sr2 Li6'
_space_group_name_H-M_alt 'P 1'
_space_group_IT_number 1
_cell_length_a 8.3680
_cell_length_b 8.3680
_cell_length_c 8.3680
_cell_angle_alpha 103.53
_cell_angle_beta 93.91
_cell_angle_gamma 134.26
loop_
_space_group_symop_operation_xyz
'x,y,z'
loop_
_atom_site_label
_atom_site_fract_x
_atom_site_fract_y
_atom_site_fract_z
Na1 0.3309 0.2480 0.0828
Na2 0.3348 0.7520 0.5828
Na3 0.6652 0.2480 0.4172
Na4 0.6691 0.7520 0.9172
Sr1 0.0015 0.2515 0.7500
Sr2 0.9985 0.7485 0.2500
Li1 0.0000 0.2509 0.2509
Li2 0.0000 0.7491 0.7491
Li3 0.5000 0.0000 0.0000
Li4 0.5000 0.2509 0.7509
Li5 0.5000 0.5000 0.5000
Li6 0.5000 0.7491 0.2491
```

Peak list (8 most intense, 2θ from 15° to 90°, low angle first)
two_theta	intensity
15.68	47
17.12	86
23.30	53
27.14	68
27.43	33
32.26	100
32.51	49
44.55	34

---

11.
NaSr4Li4: computed powder XRD pattern (Cu Ka), based on a cell relaxed with GGA-PBE.
Peak positions follow from Bragg's law for the DFT cell and can differ from measured ones.

Atomic structure:
```
data_NaSr4Li4
_chemical_formula_sum 'Na1 Sr4 Li4'
_space_group_name_H-M_alt 'P 1'
_space_group_IT_number 1
_cell_length_a 10.1084
_cell_length_b 10.1046
_cell_length_c 6.1820
_cell_angle_alpha 72.22
_cell_angle_beta 72.16
_cell_angle_gamma 35.62
loop_
_space_group_symop_operation_xyz
'x,y,z'
loop_
_atom_site_label
_atom_site_fract_x
_atom_site_fract_y
_atom_site_fract_z
Na1 0.0000 0.0000 0.0000
Sr1 0.0717 0.5882 0.4118
Sr2 0.4118 0.9284 0.5882
Sr3 0.5882 0.0717 0.9283
Sr4 0.9284 0.4118 0.0716
Li1 0.2608 0.6324 0.7392
Li2 0.3675 0.7397 0.2603
Li3 0.6324 0.2608 0.3676
Li4 0.7397 0.3675 0.6325
```

Peak list (8 most intense, 2θ from 15° to 90°, low angle first)
two_theta	intensity
22.56	100
28.29	78
28.89	38
29.41	21
30.54	23
41.69	24
47.57	27
50.82	28

---

12.
Na5Sr4Li2: computed powder XRD pattern (Cu Ka), based on a cell relaxed with GGA-PBE.
Peak positions follow from Bragg's law for the DFT cell and can differ from measured ones.

Atomic structure:
```
data_Na5Sr4Li2
_chemical_formula_sum 'Na5 Sr4 Li2'
_space_group_name_H-M_alt 'P 1'
_space_group_IT_number 1
_cell_length_a 9.1894
_cell_length_b 4.3342
_cell_length_c 11.6536
_cell_angle_alpha 90.00
_cell_angle_beta 93.94
_cell_angle_gamma 90.00
loop_
_space_group_symop_operation_xyz
'x,y,z'
loop_
_atom_site_label
_atom_site_fract_x
_atom_site_fract_y
_atom_site_fract_z
Na1 0.0000 0.0000 0.0000
Na2 0.0588 0.0000 0.3101
Na3 0.3064 0.0000 0.8434
Na4 0.6936 0.0000 0.1566
Na5 0.9412 0.0000 0.6899
Sr1 0.2594 0.5000 0.5535
Sr2 0.3415 0.5000 0.1393
Sr3 0.6585 0.5000 0.8607
Sr4 0.7406 0.5000 0.4465
Li1 0.4442 0.0000 0.3709
Li2 0.5558 0.0000 0.6291
```

Peak list (8 most intense, 2θ from 15° to 90°, low angle first)
two_theta	intensity
17.49	56
25.59	57
27.07	100
27.83	81
28.34	66
29.73	96
31.66	95
45.96	72

---

13.
Na2LiThTe4: computed powder XRD pattern (Cu Ka), based on a cell relaxed with GGA-PBE.
Peak positions follow from Bragg's law for the DFT cell and can differ from measured ones.

Atomic structure:
```
data_Na2LiThTe4
_chemical_formula_sum 'Na4 Li2 Th2 Te8'
_space_group_name_H-M_alt 'P 1'
_space_group_IT_number 1
_cell_length_a 9.0963
_cell_length_b 9.0963
_cell_length_c 8.9793
_cell_angle_alpha 119.57
_cell_angle_beta 119.57
_cell_angle_gamma 89.72
loop_
_space_group_symop_operation_xyz
'x,y,z'
loop_
_atom_site_label
_atom_site_fract_x
_atom_site_fract_y
_atom_site_fract_z
Na1 0.0000 0.0000 0.2451
Na2 0.0000 0.0000 0.7549
Na3 0.0371 0.5403 0.7892
Na4 0.4597 0.9629 0.2108
Li1 0.0632 0.5152 0.2889
Li2 0.4848 0.9368 0.7111
Th1 0.4859 0.5142 0.2428
Th2 0.4858 0.5141 0.7572
Te1 0.2428 0.2671 0.7553
Te2 0.2499 0.7492 0.7287
Te3 0.2508 0.7501 0.2713
Te4 0.2819 0.2608 0.2715
Te5 0.7329 0.7572 0.2447
Te6 0.7391 0.2608 0.1567
Te7 0.7392 0.2609 0.8433
Te8 0.7392 0.7181 0.7285
```

Peak list (8 most intense, 2θ from 15° to 90°, low angle first)
two_theta	intensity
23.07	31
27.68	100
27.81	60
31.06	28
36.00	17
38.92	24
39.64	72
48.50	24